Entry 1:
Diffraction record for MgReP2. The PXRD pattern is theoretical, not measured: it uses DFT lattice parameters and positions (GGA-PBE) and Cu Ka.
Neutral-atom scattering factors, no anomalous dispersion.

Structural model:
```
MgReP2
1.0
3.832 -1.596 0.000
3.832 1.596 0.000
-0.866 0.000 5.147
Mg Re P
1 1 2
Direct
0.000 0.000 0.000
0.500 0.500 0.500
0.228 0.228 0.696
0.772 0.772 0.304
```

The 6 most intense peaks (2θ from 15° to 90°), low angle first:
two_theta  intensity
17.2  100
23.5  32
30.4  35
36.2  70
45.9  32
47.0  34

Entry 2:
Diffraction record for LiHSO4. The PXRD pattern is theoretical, not measured: it uses DFT lattice parameters and positions (GGA-PBE) and Cu Ka.
Neutral-atom scattering factors, no anomalous dispersion.

Structural model:
```
LiHSO4
1.0
5.524 0.000 0.000
0.000 7.344 0.000
-0.060 0.000 8.491
Li H S O
4 4 4 16
Direct
0.002 0.197 0.004
0.002 0.303 0.504
0.998 0.697 0.496
0.998 0.803 0.996
0.393 0.130 0.219
0.393 0.370 0.719
0.607 0.630 0.281
0.607 0.870 0.781
0.273 0.011 0.716
0.273 0.489 0.216
0.727 0.511 0.784
0.727 0.989 0.284
0.160 0.002 0.873
0.160 0.498 0.373
0.188 0.632 0.112
0.188 0.868 0.612
0.250 0.195 0.647
0.250 0.305 0.147
0.446 0.007 0.261
0.446 0.493 0.761
0.554 0.507 0.239
0.554 0.993 0.739
0.750 0.695 0.853
0.750 0.805 0.353
0.812 0.132 0.388
0.812 0.368 0.888
0.840 0.502 0.627
0.840 0.998 0.127
```

The 6 most intense peaks (2θ from 15° to 90°), low angle first:
two_theta  intensity
20.9  45
22.6  58
22.8  100
24.2  34
26.4  38
32.2  28

Entry 3:
Diffraction record for LaBe2SiN. The PXRD pattern is theoretical, not measured: it uses DFT lattice parameters and positions (GGA-PBE) and Cu Ka.
Neutral-atom scattering factors, no anomalous dispersion.

Structural model:
```
LaBe2SiN
1.0
1.933 -5.456 0.000
1.933 5.456 0.000
0.000 0.000 6.616
La Be Si N
2 4 2 2
Direct
0.064 0.936 0.750
0.936 0.064 0.250
0.359 0.641 0.576
0.359 0.641 0.924
0.641 0.359 0.076
0.641 0.359 0.424
0.217 0.783 0.250
0.783 0.217 0.750
0.500 0.500 0.000
0.500 0.500 0.500
```

The 6 most intense peaks (2θ from 15° to 90°), low angle first:
two_theta  intensity
21.1  55
24.4  70
27.0  49
35.6  58
36.5  100
36.7  93

Entry 4:
Diffraction record for Mg3ZnIr. The PXRD pattern is theoretical, not measured: it uses DFT lattice parameters and positions (GGA-PBE) and Cu Ka.
Neutral-atom scattering factors, no anomalous dispersion.

Structural model:
```
Mg3ZnIr
1.0
8.043 -4.392 0.000
8.043 4.392 0.000
-2.127 0.000 5.457
Mg Zn Ir
12 4 4
Direct
0.038 0.538 0.288
0.059 0.151 0.105
0.151 0.059 0.605
0.350 0.441 0.894
0.441 0.350 0.394
0.462 0.962 0.212
0.538 0.038 0.788
0.559 0.650 0.606
0.650 0.559 0.106
0.849 0.941 0.395
0.941 0.849 0.895
0.962 0.462 0.712
0.250 0.750 0.250
0.250 0.750 0.750
0.750 0.250 0.250
0.750 0.250 0.750
0.250 0.250 0.000
0.250 0.250 0.500
0.750 0.750 0.000
0.750 0.750 0.500
```

The 6 most intense peaks (2θ from 15° to 90°), low angle first:
two_theta  intensity
20.2  25
23.5  100
23.7  50
38.9  92
39.0  44
41.6  36

Copy entry 1 word for word.
Diffraction record for MgReP2. The PXRD pattern is theoretical, not measured: it uses DFT lattice parameters and positions (GGA-PBE) and Cu Ka.
Neutral-atom scattering factors, no anomalous dispersion.

Structural model:
```
MgReP2
1.0
3.832 -1.596 0.000
3.832 1.596 0.000
-0.866 0.000 5.147
Mg Re P
1 1 2
Direct
0.000 0.000 0.000
0.500 0.500 0.500
0.228 0.228 0.696
0.772 0.772 0.304
```

The 6 most intense peaks (2θ from 15° to 90°), low angle first:
two_theta  intensity
17.2  100
23.5  32
30.4  35
36.2  70
45.9  32
47.0  34